[1]
The following is a simulated powder X-ray diffraction pattern of Zr2NiAg2S6. It was derived from a cell relaxed with GGA-PBE, using Cu Kα (λ = 1.5418 Å).
Kinematic intensities with the Lorentz-polarization factor, no thermal factor.

Peak list (10 most intense, 10° ≤ 2θ ≤ 90°, in order of rising 2θ)
2theta, I/Imax
16.3, 25
28.4, 56
31.7, 17
32.2, 13
40.0, 100
50.4, 34
64.8, 12
66.2, 21
79.4, 15
87.6, 19

Crystal structure
Lattice parameters (Å, degrees): 6.2769 6.2769 6.4762 90.00 90.00 120.00
Fractional coordinates of all 11 atoms:
Zr 0.3333 0.6667 0.0000
Zr 0.6667 0.3333 0.0000
Ni 0.0000 0.0000 0.0000
Ag 0.3333 0.6667 0.5000
Ag 0.6667 0.3333 0.5000
S 0.0000 0.3190 0.2240
S 0.0000 0.6810 0.7760
S 0.3190 0.0000 0.2240
S 0.3190 0.3190 0.7760
S 0.6810 0.0000 0.7760
S 0.6810 0.6810 0.2240

---

[2]
The following is a simulated powder X-ray diffraction pattern of LuAlZnRh. It was derived from a cell relaxed with GGA-PBE, using Cu Kα (λ = 1.5418 Å).
Kinematic intensities with the Lorentz-polarization factor, no thermal factor.

Peak list (9 most intense, 10° ≤ 2θ ≤ 90°, in order of rising 2θ)
2theta, I/Imax
23.8, 38
39.4, 100
46.5, 20
56.9, 17
62.5, 8
71.4, 34
76.5, 6
84.7, 11
89.6, 7

Crystal structure
Lattice parameters (Å, degrees): 6.4733 6.4733 6.4733 90.00 90.00 90.00
Fractional coordinates of all 16 atoms:
Lu 0.0000 0.0000 0.0000
Lu 0.0000 0.5000 0.5000
Lu 0.5000 0.0000 0.5000
Lu 0.5000 0.5000 0.0000
Al 0.0000 0.0000 0.5000
Al 0.0000 0.5000 0.0000
Al 0.5000 0.0000 0.0000
Al 0.5000 0.5000 0.5000
Zn 0.2500 0.2500 0.2500
Zn 0.2500 0.7500 0.7500
Zn 0.7500 0.2500 0.7500
Zn 0.7500 0.7500 0.2500
Rh 0.2500 0.2500 0.7500
Rh 0.2500 0.7500 0.2500
Rh 0.7500 0.2500 0.2500
Rh 0.7500 0.7500 0.7500

---

[3]
The following is a simulated powder X-ray diffraction pattern of K3Na2SnAs3. It was derived from a cell relaxed with GGA-PBE, using Cu Kα (λ = 1.5418 Å).
Kinematic intensities with the Lorentz-polarization factor, no thermal factor.

Peak list (10 most intense, 10° ≤ 2θ ≤ 90°, in order of rising 2θ)
2theta, I/Imax
11.3, 60
14.8, 59
21.6, 31
25.9, 21
28.4, 38
29.4, 60
34.8, 100
37.1, 68
48.0, 24
65.4, 24

Crystal structure
Lattice parameters (Å, degrees): 10.8516 10.8516 15.5968 90.00 90.00 36.79
Fractional coordinates of all 36 atoms:
K 0.0662 0.6004 0.1756
K 0.1004 0.5662 0.6756
K 0.2400 0.7600 0.8223
K 0.2600 0.7400 0.3223
K 0.3996 0.9338 0.1756
K 0.4338 0.8996 0.6756
K 0.5662 0.1004 0.3244
K 0.6004 0.0662 0.8244
K 0.7400 0.2600 0.6777
K 0.7600 0.2400 0.1777
K 0.8996 0.4338 0.3244
K 0.9338 0.3996 0.8244
Na 0.0813 0.0813 0.0000
Na 0.2452 0.2452 0.0000
Na 0.2548 0.2548 0.5000
Na 0.4187 0.4187 0.5000
Na 0.5813 0.5813 0.5000
Na 0.7452 0.7452 0.5000
Na 0.7548 0.7548 0.0000
Na 0.9187 0.9187 0.0000
Sn 0.0888 0.0888 0.5000
Sn 0.4112 0.4112 0.0000
Sn 0.5888 0.5888 0.0000
Sn 0.9112 0.9112 0.5000
As 0.0641 0.6177 0.3939
As 0.1177 0.5641 0.8939
As 0.2060 0.7940 0.5953
As 0.2940 0.7060 0.0953
As 0.3823 0.9359 0.3939
As 0.4359 0.8823 0.8939
As 0.5641 0.1177 0.1061
As 0.6177 0.0641 0.6061
As 0.7060 0.2940 0.9047
As 0.7940 0.2060 0.4047
As 0.8823 0.4359 0.1061
As 0.9359 0.3823 0.6061

---

[4]
The following is a simulated powder X-ray diffraction pattern of Na3UCu2S6. It was derived from a cell relaxed with GGA-PBE, using Cu Kα (λ = 1.5418 Å).
Kinematic intensities with the Lorentz-polarization factor, no thermal factor.

Peak list (10 most intense, 10° ≤ 2θ ≤ 90°, in order of rising 2θ)
2theta, I/Imax
13.5, 100
14.4, 56
19.8, 45
26.5, 24
31.9, 75
34.4, 34
39.7, 19
43.6, 25
45.4, 22
49.8, 24

Crystal structure
Lattice parameters (Å, degrees): 6.8870 6.8870 6.8845 97.72 97.72 127.10
Fractional coordinates of all 12 atoms:
Na 0.0000 0.0000 0.0000
Na 0.3184 0.6816 0.0000
Na 0.6816 0.3184 0.0000
U 0.5000 0.5000 0.5000
Cu 0.1121 0.8879 0.5000
Cu 0.8879 0.1121 0.5000
S 0.0808 0.3825 0.2975
S 0.2686 0.2686 0.7504
S 0.3825 0.0808 0.2975
S 0.6175 0.9192 0.7025
S 0.7314 0.7314 0.2496
S 0.9192 0.6175 0.7025